# 1
Computed PXRD pattern
Compound: NaTbTl2I6
Radiation: Cu Kα (weighted mean of Kα1 and Kα2)
Structure: a GGA-PBE-relaxed structure
Neutral-atom scattering factors, no anomalous dispersion.

Atomic structure:
abc: 8.6893 8.6893 8.6893
angles: 58.45 58.45 58.45
Sites, in units of the cell vectors:
Na  0.0000  0.0000  0.0000
Tb  0.5051  0.5051  0.5051
Tl  0.2042  0.2042  0.2042
Tl  0.7104  0.7104  0.7104
I  0.1662  0.3610  0.7528
I  0.2810  0.8514  0.6405
I  0.3610  0.7528  0.1662
I  0.6405  0.2810  0.8514
I  0.7528  0.1662  0.3610
I  0.8514  0.6405  0.2810

Most intense lines, 2θ from 10° to 90°, by intensity:
| 2θ/deg | I_rel |
| --- | --- |
| 24.4 | 100.0 |
| 32.7 | 81.7 |
| 29.4 | 64.3 |
| 36.7 | 54.1 |
| 25.6 | 46.0 |
| 20.5 | 39.6 |
| 14.6 | 33.6 |
| 36.4 | 30.0 |
| 53.9 | 23.7 |
| 43.4 | 23.0 |

# 2
Computed PXRD pattern
Compound: KLiMn
Radiation: Cu Kα (weighted mean of Kα1 and Kα2)
Structure: a GGA-PBE-relaxed structure
Neutral-atom scattering factors, no anomalous dispersion.

Atomic structure:
abc: 6.8636 6.8636 6.8636
angles: 153.22 143.19 46.10
Sites, in units of the cell vectors:
K  0.0000  0.0000  0.0000
Li  0.7167  0.7167  0.0000
Mn  0.2860  0.2860  0.0000

Most intense lines, 2θ from 10° to 90°, by intensity:
| 2θ/deg | I_rel |
| --- | --- |
| 29.6 | 100.0 |
| 21.7 | 91.9 |
| 35.0 | 82.6 |
| 35.4 | 60.0 |
| 28.3 | 57.0 |
| 45.6 | 55.3 |
| 29.0 | 43.5 |
| 55.8 | 28.3 |
| 14.0 | 27.6 |
| 41.7 | 24.4 |

# 3
Computed PXRD pattern
Compound: Pa2Bi3Pb
Radiation: Cu Kα (weighted mean of Kα1 and Kα2)
Structure: a GGA-PBE-relaxed structure
Neutral-atom scattering factors, no anomalous dispersion.

Atomic structure:
abc: 4.4662 4.4662 8.9972
angles: 90.00 90.00 90.00
Sites, in units of the cell vectors:
Pa  0.0000  0.5000  0.2185
Pa  0.5000  0.0000  0.7815
Bi  0.0000  0.5000  0.8574
Bi  0.5000  0.0000  0.1426
Bi  0.5000  0.5000  0.5000
Pb  0.0000  0.0000  0.5000

Most intense lines, 2θ from 10° to 90°, by intensity:
| 2θ/deg | I_rel |
| --- | --- |
| 34.7 | 100.0 |
| 30.0 | 99.4 |
| 40.4 | 64.3 |
| 29.8 | 47.1 |
| 51.0 | 43.9 |
| 36.1 | 33.0 |
| 69.8 | 27.7 |
| 58.4 | 22.4 |
| 67.1 | 21.2 |
| 28.3 | 20.6 |